1.
Starting from a PBE-relaxed structure, the XRD peak list of SnHg2Bi2Pb was computed for Cu Kα (weighted mean of Kα1 and Kα2).
No peak broadening, texture or thermal motion is included.

Structural model:
```
SnHg2Bi2Pb
1.0
5.791 0.000 0.000
0.000 9.614 0.000
0.000 0.000 6.611
Sn Hg Bi Pb
2 4 4 2
Cartesian
0.000 1.233 0.000
0.000 8.382 3.305
0.000 4.378 6.460
0.000 5.236 3.155
2.895 4.254 4.829
2.895 5.361 1.524
0.000 1.889 3.264
0.000 7.726 6.569
2.895 1.139 4.995
2.895 8.475 1.689
2.895 2.218 1.511
2.895 7.396 4.816
```

Most intense lines, 5° ≤ 2θ ≤ 70°, in order of rising 2θ:
Position (°2θ), I/Imax
27.84, 25.0
30.88, 52.1
31.01, 31.3
31.16, 100.0
34.75, 47.0
42.06, 17.5
42.27, 32.8
44.33, 24.1
52.84, 13.8
55.10, 20.7

---

2.
Starting from a PBE-relaxed structure, the XRD peak list of La2SmHoTm4 was computed for Cu Kα (weighted mean of Kα1 and Kα2).
No peak broadening, texture or thermal motion is included.

Structural model:
```
La2SmHoTm4
1.0
6.194 -3.579 0.000
6.194 3.579 0.000
-4.123 0.000 11.594
La Sm Ho Tm
4 2 2 8
Cartesian
0.000 0.000 0.000
-2.061 0.000 5.797
3.097 1.790 0.000
3.097 -1.790 0.000
6.194 0.000 0.000
4.133 0.000 5.797
1.036 1.790 5.797
1.036 -1.790 5.797
0.018 0.000 8.660
3.098 1.783 8.662
2.063 0.000 2.939
5.167 1.783 2.932
3.098 -1.783 8.662
6.202 0.000 8.655
5.167 -1.783 2.932
8.248 0.000 2.933
```

Most intense lines, 5° ≤ 2θ ≤ 70°, in order of rising 2θ:
Position (°2θ), I/Imax
30.63, 100.0
30.85, 32.6
35.58, 67.1
51.06, 24.2
51.34, 23.6
60.73, 14.4
60.85, 28.4
61.11, 14.0
63.78, 12.4
64.28, 4.0

---

3.
Starting from a PBE-relaxed structure, the XRD peak list of Li4Tb3ThTe8 was computed for Cu Kα (weighted mean of Kα1 and Kα2).
No peak broadening, texture or thermal motion is included.

Structural model:
```
Li4Tb3ThTe8
1.0
4.346 2.509 7.099
-4.346 2.509 7.099
0.000 -5.019 7.099
Li Tb Th Te
4 3 1 8
Cartesian
0.000 0.000 0.000
-2.173 -1.255 7.099
-2.173 1.255 14.198
0.000 2.509 7.099
-4.346 0.000 10.648
-2.173 1.255 3.549
2.173 1.255 3.549
0.000 0.000 10.648
0.000 -2.536 8.792
-2.196 1.268 8.792
-2.196 -1.268 12.505
0.000 0.000 5.376
0.000 0.000 15.920
2.196 1.268 8.792
2.196 -1.268 12.505
0.000 2.536 12.505
```

Most intense lines, 5° ≤ 2θ ≤ 70°, in order of rising 2θ:
Position (°2θ), I/Imax
12.47, 30.3
24.01, 27.5
29.05, 100.0
31.72, 17.4
38.03, 9.1
41.55, 75.5
51.50, 26.8
57.59, 9.4
60.22, 12.5
68.23, 34.1